# 1
The following is a calculated PXRD pattern of Pm9MgIn2. It was derived from a PBE-relaxed structure, using Cu Kα.

Top 6 peaks for 2θ from 10° to 90°, in order of rising 2θ:
2θ/deg  intensity
31.15  1000
36.09  337
36.20  167
52.02  354
61.84  279
61.98  138

Structural model:
```
Pm9MgIn2
1.0
4.977 0.000 0.000
0.000 4.977 0.000
0.000 0.000 14.889
Pm Mg In
9 1 2
direct
0.000 0.000 0.000 Pm
0.000 0.000 0.332 Pm
0.000 0.000 0.668 Pm
0.000 0.500 0.169 Pm
0.000 0.500 0.500 Pm
0.000 0.500 0.831 Pm
0.500 0.000 0.169 Pm
0.500 0.000 0.500 Pm
0.500 0.000 0.831 Pm
0.500 0.500 0.000 Mg
0.500 0.500 0.335 In
0.500 0.500 0.665 In
```

***

# 2
The following is a calculated PXRD pattern of Ta2CuPb. It was derived from a PBE-relaxed structure, using Cu Kα.

Top 6 peaks for 2θ from 10° to 90°, in order of rising 2θ:
2θ/deg  intensity
36.91  1000
37.64  959
41.62  380
41.97  371
60.59  252
72.87  276

Structural model:
```
Ta2CuPb
1.0
2.955 0.000 0.000
0.000 4.340 0.000
-0.525 0.000 5.726
Ta Cu Pb
2 1 1
direct
0.051 0.000 0.273 Ta
0.949 0.000 0.727 Ta
0.500 0.500 0.500 Cu
0.500 0.500 0.000 Pb
```

***

# 3
The following is a calculated PXRD pattern of BC3. It was derived from a PBE-relaxed structure, using Cu Kα.

Top 6 peaks for 2θ from 10° to 90°, in order of rising 2θ:
2θ/deg  intensity
42.65  1000
42.76  984
72.09  523
74.54  124
74.86  124
89.95  156

Structural model:
```
BC3
1.0
5.883 -1.268 0.000
5.883 1.268 0.000
-1.110 0.000 4.970
B C
3 9
direct
0.000 0.000 0.000 B
0.005 0.005 0.498 B
0.751 0.751 0.624 B
0.097 0.097 0.802 C
0.098 0.098 0.293 C
0.333 0.333 0.166 C
0.344 0.344 0.669 C
0.411 0.411 0.954 C
0.412 0.412 0.454 C
0.670 0.670 0.322 C
0.670 0.670 0.844 C
0.754 0.754 0.126 C
```